Calculated powder diffractogram of Li3MnCoO5 for Cu Kα, from the PBE+U geometry in the Materials Project.
No peak broadening, texture or thermal motion is included.

Most intense lines, 2θ from 5° to 70°, most intense first:
d = 4.844 Å, I 100; d = 2.087 Å, I 30; d = 2.065 Å, I 29; d = 2.072 Å, I 29; d = 1.474 Å, I 16; d = 2.478 Å, I 14; d = 2.503 Å, I 13; d = 2.489 Å, I 12

Crystal structure
```
data_Li3MnCoO5
_symmetry_space_group_name_H-M 'P 1'
_symmetry_Int_Tables_number 1
_symmetry_space_group_name_Hall 'P 1'
_cell_length_a 5.0312
_cell_length_b 5.1217
_cell_length_c 7.7378
_cell_angle_alpha 83.78
_cell_angle_beta 71.32
_cell_angle_gamma 71.05
loop_
_atom_site_label
_atom_site_fract_x
_atom_site_fract_y
_atom_site_fract_z
_atom_site_occupancy
Li1 0.0000 0.0000 0.0000 1
Li2 0.0918 0.5009 0.8127 1
Li3 0.1856 0.9962 0.6210 1
Li4 0.3980 0.9969 0.2138 1
Li5 0.5995 0.9964 0.8059 1
Li6 0.7920 0.9987 0.4172 1
Mn1 0.4974 0.4963 0.0083 1
Mn2 0.8982 0.4956 0.2089 1
Co1 0.2979 0.4880 0.4265 1
Co2 0.6993 0.5073 0.6190 1
O1 0.0294 0.2709 0.4043 1
O2 0.1545 0.7101 0.2068 1
O3 0.2401 0.2759 0.0262 1
O4 0.3671 0.7298 0.8216 1
O5 0.4454 0.2668 0.6001 1
O6 0.5658 0.7262 0.3987 1
O7 0.6510 0.2760 0.2018 1
O8 0.7371 0.7173 0.0252 1
O9 0.8094 0.2633 0.8236 1
O10 0.9427 0.7331 0.6029 1
```

***

Calculated powder diffractogram of Li4MnCo2O7 for Cu Kα, from the PBE+U geometry in the Materials Project.
No peak broadening, texture or thermal motion is included.

Most intense lines, 2θ from 5° to 70°, most intense first:
d = 4.850 Å, I 100; d = 2.076 Å, I 55; d = 1.480 Å, I 35; d = 2.111 Å, I 27; d = 2.497 Å, I 25; d = 2.541 Å, I 13; d = 1.604 Å, I 10; d = 10.358 Å, I 9

Crystal structure
```
data_Li4MnCo2O7
_symmetry_space_group_name_H-M 'P 1'
_symmetry_Int_Tables_number 1
_symmetry_space_group_name_Hall 'P 1'
_cell_length_a 10.6737
_cell_length_b 10.6737
_cell_length_c 8.4457
_cell_angle_alpha 101.48
_cell_angle_beta 101.48
_cell_angle_gamma 15.69
loop_
_atom_site_label
_atom_site_fract_x
_atom_site_fract_y
_atom_site_fract_z
_atom_site_occupancy
Li1 0.0000 0.0000 0.0000 1
Li2 0.0022 0.0022 0.4964 1
Li3 0.1431 0.1431 0.5782 1
Li4 0.2918 0.2918 0.1454 1
Li5 0.4350 0.4350 0.7110 1
Li6 0.5687 0.5687 0.2990 1
Li7 0.7163 0.7163 0.8578 1
Li8 0.8613 0.8613 0.4260 1
Mn1 0.1428 0.1428 0.0652 1
Mn2 0.7178 0.7178 0.3598 1
Co1 0.2894 0.2894 0.6527 1
Co2 0.4332 0.4332 0.2297 1
Co3 0.5681 0.5681 0.7570 1
Co4 0.8594 0.8594 0.9408 1
O1 0.0040 0.0040 0.7558 1
O2 0.1388 0.1388 0.8385 1
O3 0.1522 0.1522 0.3114 1
O4 0.2815 0.2815 0.3894 1
O5 0.2945 0.2945 0.9011 1
O6 0.4262 0.4262 0.9905 1
O7 0.4295 0.4295 0.4344 1
O8 0.5768 0.5768 0.5493 1
O9 0.5813 0.5813 0.0457 1
O10 0.7063 0.7063 0.0944 1
O11 0.7258 0.7258 0.6185 1
O12 0.8538 0.8538 0.6859 1
O13 0.8630 0.8630 0.1789 1
O14 0.9967 0.9967 0.2458 1
```

***

Calculated powder diffractogram of Li6Mn3CoO10 for Cu Kα, from the PBE+U geometry in the Materials Project.
No peak broadening, texture or thermal motion is included.

Most intense lines, 2θ from 5° to 70°, most intense first:
d = 4.810 Å, I 100; d = 2.046 Å, I 58; d = 2.142 Å, I 34; d = 2.467 Å, I 23; d = 2.571 Å, I 17; d = 10.709 Å, I 16; d = 1.483 Å, I 15; d = 1.476 Å, I 15

Crystal structure
```
data_Li6Mn3CoO10
_symmetry_space_group_name_H-M 'P 1'
_symmetry_Int_Tables_number 1
_symmetry_space_group_name_Hall 'P 1'
_cell_length_a 10.9119
_cell_length_b 10.9119
_cell_length_c 5.8369
_cell_angle_alpha 98.04
_cell_angle_beta 98.04
_cell_angle_gamma 15.11
loop_
_atom_site_label
_atom_site_fract_x
_atom_site_fract_y
_atom_site_fract_z
_atom_site_occupancy
Li1 0.0000 0.0000 0.0000 1
Li2 0.0006 0.0006 0.4993 1
Li3 0.1978 0.1978 0.0994 1
Li4 0.4083 0.4083 0.7077 1
Li5 0.5912 0.5912 0.2885 1
Li6 0.8046 0.8046 0.9006 1
Mn1 0.1998 0.1998 0.5950 1
Mn2 0.4072 0.4072 0.2000 1
Mn3 0.5928 0.5928 0.7998 1
Co1 0.8044 0.8044 0.4014 1
O1 0.0977 0.0977 0.5728 1
O2 0.1011 0.1011 0.0261 1
O3 0.3037 0.3037 0.6246 1
O4 0.3073 0.3073 0.1770 1
O5 0.4915 0.4915 0.2432 1
O6 0.5086 0.5086 0.7568 1
O7 0.6962 0.6962 0.8261 1
O8 0.7010 0.7010 0.3658 1
O9 0.8994 0.8994 0.9737 1
O10 0.9024 0.9024 0.4266 1
```

***

Calculated powder diffractogram of Li7Mn4CoO12 for Cu Kα, from the PBE+U geometry in the Materials Project.
No peak broadening, texture or thermal motion is included.

Most intense lines, 2θ from 5° to 70°, most intense first:
d = 4.817 Å, I 100; d = 2.121 Å, I 30; d = 2.073 Å, I 29; d = 2.041 Å, I 27; d = 1.483 Å, I 16; d = 2.538 Å, I 14; d = 2.500 Å, I 13; d = 2.465 Å, I 12

Crystal structure
```
data_Li7Mn4CoO12
_symmetry_space_group_name_H-M 'P 1'
_symmetry_Int_Tables_number 1
_symmetry_space_group_name_Hall 'P 1'
_cell_length_a 5.1600
_cell_length_b 5.8061
_cell_length_c 7.6930
_cell_angle_alpha 99.92
_cell_angle_beta 108.13
_cell_angle_gamma 90.28
loop_
_atom_site_label
_atom_site_fract_x
_atom_site_fract_y
_atom_site_fract_z
_atom_site_occupancy
Li1 0.0000 0.0000 0.0000 1
Li2 0.0039 0.4959 0.9918 1
Li3 0.1539 0.4155 0.6675 1
Li4 0.3156 0.3389 0.3531 1
Li5 0.3218 0.8420 0.3415 1
Li6 0.6512 0.6604 0.6682 1
Li7 0.6710 0.1737 0.6681 1
Mn1 0.1599 0.9219 0.6694 1
Mn2 0.4980 0.2523 0.9997 1
Mn3 0.5041 0.7518 0.0016 1
Mn4 0.8211 0.5889 0.3431 1
Co1 0.8209 0.0888 0.3386 1
O1 0.1102 0.1999 0.8409 1
O2 0.1316 0.7233 0.8516 1
O3 0.1950 0.6363 0.4956 1
O4 0.1979 0.1162 0.4946 1
O5 0.4372 0.5661 0.1741 1
O6 0.4440 0.0410 0.1611 1
O7 0.5876 0.4690 0.8585 1
O8 0.5963 0.9396 0.8447 1
O9 0.7336 0.3756 0.4837 1
O10 0.7348 0.8716 0.4854 1
O11 0.8833 0.8001 0.1804 1
O12 0.8918 0.3055 0.1862 1
```

***

Calculated powder diffractogram of Li4MnCo2O7 for Cu Kα, from the PBE+U geometry in the Materials Project.
No peak broadening, texture or thermal motion is included.

Most intense lines, 2θ from 5° to 70°, most intense first:
d = 4.840 Å, I 100; d = 2.097 Å, I 29; d = 2.085 Å, I 28; d = 2.053 Å, I 27; d = 1.475 Å, I 15; d = 2.516 Å, I 14; d = 2.505 Å, I 14; d = 2.471 Å, I 13

Crystal structure
```
data_Li4MnCo2O7
_symmetry_space_group_name_H-M 'P 1'
_symmetry_Int_Tables_number 1
_symmetry_space_group_name_Hall 'P 1'
_cell_length_a 5.0827
_cell_length_b 6.6373
_cell_length_c 7.7426
_cell_angle_alpha 85.67
_cell_angle_beta 76.54
_cell_angle_gamma 82.18
loop_
_atom_site_label
_atom_site_fract_x
_atom_site_fract_y
_atom_site_fract_z
_atom_site_occupancy
Li1 0.0000 0.0000 0.0000 1
Li2 0.0663 0.8592 0.3494 1
Li3 0.2086 0.5728 0.0686 1
Li4 0.3518 0.2784 0.7917 1
Li5 0.4948 0.9937 0.5000 1
Li6 0.6528 0.7249 0.2104 1
Li7 0.7852 0.4220 0.9284 1
Li8 0.9331 0.1388 0.6539 1
Mn1 0.4294 0.1365 0.1440 1
Mn2 0.7126 0.5707 0.5707 1
Co1 0.1337 0.7201 0.7257 1
Co2 0.2840 0.4276 0.4292 1
Co3 0.5597 0.8661 0.8588 1
Co4 0.8622 0.2764 0.2780 1
O1 0.0259 0.4352 0.6601 1
O2 0.1130 0.2803 0.0567 1
O3 0.1868 0.1485 0.3802 1
O4 0.2667 0.9843 0.7516 1
O5 0.3371 0.8750 0.1091 1
O6 0.4047 0.6932 0.4793 1
O7 0.4762 0.5785 0.8056 1
O8 0.5185 0.4071 0.1876 1
O9 0.6178 0.3066 0.5264 1
O10 0.6573 0.1346 0.9085 1
O11 0.7247 0.0188 0.2470 1
O12 0.8215 0.8341 0.6061 1
O13 0.8935 0.7131 0.9458 1
O14 0.9520 0.5640 0.3368 1
```

***

Calculated powder diffractogram of Li7Mn4CoO12 for Cu Kα, from the PBE+U geometry in the Materials Project.
No peak broadening, texture or thermal motion is included.

Most intense lines, 2θ from 5° to 70°, most intense first:
d = 4.833 Å, I 100; d = 2.167 Å, I 32; d = 2.052 Å, I 28; d = 2.037 Å, I 27; d = 1.490 Å, I 16; d = 2.585 Å, I 15; d = 2.479 Å, I 13; d = 2.462 Å, I 12

Crystal structure
```
data_Li7Mn4CoO12
_symmetry_space_group_name_H-M 'P 1'
_symmetry_Int_Tables_number 1
_symmetry_space_group_name_Hall 'P 1'
_cell_length_a 5.9705
_cell_length_b 7.6327
_cell_length_c 10.1756
_cell_angle_alpha 76.80
_cell_angle_beta 75.70
_cell_angle_gamma 80.78
loop_
_atom_site_label
_atom_site_fract_x
_atom_site_fract_y
_atom_site_fract_z
_atom_site_occupancy
Li1 0.0000 0.0000 0.0000 1
Li2 0.0042 0.4989 0.7478 1
Li3 0.1418 0.8542 0.7587 1
Li4 0.1546 0.8437 0.2433 1
Li5 0.3334 0.1579 0.2563 1
Li6 0.3587 0.1527 0.7433 1
Li7 0.4947 0.5031 0.7508 1
Li8 0.5000 0.0000 0.5000 1
Li9 0.5053 0.4969 0.2492 1
Li10 0.6413 0.8473 0.2567 1
Li11 0.6666 0.8421 0.7437 1
Li12 0.8454 0.1563 0.7567 1
Li13 0.8582 0.1458 0.2413 1
Li14 0.9958 0.5011 0.2522 1
Mn1 0.1679 0.3273 0.9993 1
Mn2 0.1712 0.3267 0.5048 1
Mn3 0.3266 0.6720 0.5030 1
Mn4 0.3320 0.6715 0.9982 1
Mn5 0.6680 0.3285 0.0018 1
Mn6 0.6734 0.3280 0.4970 1
Mn7 0.8288 0.6733 0.4952 1
Mn8 0.8321 0.6727 0.0007 1
Co1 0.0000 0.0000 0.5000 1
Co2 0.5000 0.0000 0.0000 1
O1 0.0237 0.2429 0.3850 1
O2 0.0327 0.7304 0.1076 1
O3 0.1473 0.5802 0.3943 1
O4 0.1690 0.0995 0.6238 1
O5 0.1740 0.0963 0.1140 1
O6 0.1866 0.5778 0.8822 1
O7 0.2980 0.9120 0.3945 1
O8 0.3190 0.4230 0.6189 1
O9 0.3465 0.9071 0.8843 1
O10 0.3529 0.4200 0.1060 1
O11 0.4717 0.2677 0.3934 1
O12 0.4807 0.7599 0.1171 1
O13 0.5193 0.2401 0.8829 1
O14 0.5283 0.7323 0.6066 1
O15 0.6471 0.5800 0.8940 1
O16 0.6535 0.0929 0.1157 1
O17 0.6810 0.5770 0.3811 1
O18 0.7020 0.0880 0.6055 1
O19 0.8134 0.4222 0.1178 1
O20 0.8260 0.9037 0.8860 1
O21 0.8310 0.9005 0.3762 1
O22 0.8527 0.4198 0.6057 1
O23 0.9673 0.2696 0.8924 1
O24 0.9763 0.7571 0.6150 1
```